Starting from DFT lattice parameters and positions (GGA-PBE), the powder diffractogram of K2P3NO12 was computed for copper Kα.
Peak positions follow from Bragg's law for the DFT cell and can differ from measured ones.

Largest 10 diffraction maxima, in order of rising 2θ, 2θ = 10–80°:
2θ = 16.76°, I 28.6, (1 0 3); 2θ = 23.07°, I 100.0, (2 0 0); 2θ = 28.65°, I 11.6, (2 1 3); 2θ = 29.53°, I 69.9, (1 1 6); 2θ = 32.85°, I 12.7, (2 2 0); 2θ = 33.89°, I 15.8, (2 0 6); 2θ = 44.14°, I 11.5, (3 2 3); 2θ = 44.75°, I 41.2, (3 1 6); 2θ = 61.28°, I 11.3, (2 2 12); 2θ = 76.08°, I 10.7, (4 2 12)

Structural model:
Unit cell a=7.7102 b=7.7102 c=21.8192 alpha=90.00 beta=90.00 gamma=90.00
Space group I-42d (No. 122)
Symmetry-distinct sites (fractional):
K 0.0000 0.0000 0.1698 (multiplicity 8)
P 0.0000 0.0000 0.0000 (multiplicity 4)
P 0.0000 0.0000 0.3341 (multiplicity 8)
N 0.0000 0.0000 0.5000 (multiplicity 4)
O 0.0363 0.6516 0.2055 (multiplicity 16)
O 0.0514 0.6582 0.8769 (multiplicity 16)
O 0.0690 0.6481 0.5425 (multiplicity 16)